# 1
This entry pairs a crystal structure of TaPbSe2 with its simulated powder XRD pattern. Radiation: Cu Kα X-rays. Structure: a PBE-relaxed structure.
Kinematic intensities with the Lorentz-polarization factor, no thermal factor.

Largest 10 diffraction maxima, by angle, 2θ = 15–90°:
18.73 deg, rel. 44; 29.61 deg, rel. 54; 31.11 deg, rel. 69; 35.27 deg, rel. 17; 41.39 deg, rel. 100; 52.54 deg, rel. 32; 56.27 deg, rel. 16; 66.65 deg, rel. 13; 69.00 deg, rel. 22; 82.44 deg, rel. 18

Structure:
```
TaPbSe2
1.0
3.483 0.000 0.000
-1.742 3.017 0.000
0.000 0.000 9.476
Ta Pb Se
1 1 2
Direct
0.000 0.000 0.000 Ta
0.667 0.333 0.500 Pb
0.667 0.333 0.175 Se
0.667 0.333 0.825 Se
```

# 2
This entry pairs a crystal structure of SrTl2Hg2 with its simulated powder XRD pattern. Radiation: Cu Kα X-rays. Structure: a PBE-relaxed structure.
Kinematic intensities with the Lorentz-polarization factor, no thermal factor.

Largest 10 diffraction maxima, by angle, 2θ = 15–90°:
18.12 deg, rel. 21; 29.11 deg, rel. 28; 30.26 deg, rel. 100; 34.77 deg, rel. 33; 35.69 deg, rel. 39; 38.33 deg, rel. 39; 41.00 deg, rel. 28; 50.68 deg, rel. 23; 59.56 deg, rel. 16; 62.80 deg, rel. 18

Structure:
```
SrTl2Hg2
1.0
10.947 0.000 0.000
0.000 10.947 0.000
0.000 0.000 5.031
Sr Tl Hg
4 8 8
Direct
0.146 0.146 0.000 Sr
0.354 0.646 0.500 Sr
0.646 0.354 0.500 Sr
0.854 0.854 0.000 Sr
0.028 0.357 0.500 Tl
0.143 0.528 0.000 Tl
0.357 0.028 0.500 Tl
0.472 0.857 0.000 Tl
0.528 0.143 0.000 Tl
0.643 0.972 0.500 Tl
0.857 0.472 0.000 Tl
0.972 0.643 0.500 Tl
0.094 0.906 0.500 Hg
0.189 0.811 0.000 Hg
0.311 0.311 0.500 Hg
0.406 0.406 0.000 Hg
0.594 0.594 0.000 Hg
0.689 0.689 0.500 Hg
0.811 0.189 0.000 Hg
0.906 0.094 0.500 Hg
```

# 3
This entry pairs a crystal structure of NaCa6TiSi4O18 with its simulated powder XRD pattern. Radiation: Cu Kα X-rays. Structure: a PBE-relaxed structure.
Kinematic intensities with the Lorentz-polarization factor, no thermal factor.

Largest 10 diffraction maxima, by angle, 2θ = 15–90°:
16.59 deg, rel. 12; 19.83 deg, rel. 12; 28.33 deg, rel. 60; 29.25 deg, rel. 100; 29.87 deg, rel. 18; 31.56 deg, rel. 14; 34.04 deg, rel. 26; 46.43 deg, rel. 16; 46.59 deg, rel. 14; 47.86 deg, rel. 29

Structure:
```
NaCa6TiSi4O18
1.0
5.708 0.000 0.000
0.036 7.602 0.000
1.772 1.959 9.452
Na Ca Ti Si O
1 6 1 4 18
Direct
0.000 0.000 0.000 Na
0.196 0.903 0.375 Ca
0.213 0.412 0.358 Ca
0.495 0.701 0.013 Ca
0.505 0.299 0.987 Ca
0.787 0.588 0.642 Ca
0.804 0.097 0.625 Ca
0.000 0.500 0.000 Ti
0.246 0.277 0.727 Si
0.256 0.853 0.721 Si
0.744 0.147 0.279 Si
0.754 0.723 0.273 Si
0.075 0.829 0.613 O
0.083 0.363 0.612 O
0.163 0.325 0.885 O
0.174 0.054 0.761 O
0.197 0.712 0.875 O
0.245 0.464 0.111 O
0.399 0.990 0.051 O
0.462 0.147 0.343 O
0.466 0.687 0.317 O
0.534 0.313 0.683 O
0.538 0.853 0.657 O
0.601 0.010 0.949 O
0.755 0.536 0.889 O
0.803 0.288 0.125 O
0.826 0.946 0.239 O
0.837 0.675 0.115 O
0.917 0.637 0.388 O
0.925 0.171 0.387 O
```

# 4
This entry pairs a crystal structure of TbAl4Fe8 with its simulated powder XRD pattern. Radiation: Cu Kα X-rays. Structure: a PBE-relaxed structure.
Kinematic intensities with the Lorentz-polarization factor, no thermal factor.

Largest 10 diffraction maxima, by angle, 2θ = 15–90°:
29.62 deg, rel. 59; 33.29 deg, rel. 11; 36.51 deg, rel. 12; 42.25 deg, rel. 43; 42.46 deg, rel. 100; 47.58 deg, rel. 19; 61.47 deg, rel. 15; 61.64 deg, rel. 15; 69.52 deg, rel. 12; 77.71 deg, rel. 11

Structure:
```
TbAl4Fe8
1.0
-4.255 4.255 2.475
4.255 -4.255 2.475
4.255 4.255 -2.475
Tb Al Fe
1 4 8
Direct
0.000 0.000 0.000 Tb
0.000 0.345 0.345 Al
0.000 0.655 0.655 Al
0.345 0.000 0.345 Al
0.655 0.000 0.655 Al
0.000 0.000 0.500 Fe
0.000 0.500 0.000 Fe
0.267 0.500 0.767 Fe
0.500 0.000 0.000 Fe
0.500 0.267 0.767 Fe
0.500 0.500 0.500 Fe
0.500 0.733 0.233 Fe
0.733 0.500 0.233 Fe
```

# 5
This entry pairs a crystal structure of LiTl6C2O6F2 with its simulated powder XRD pattern. Radiation: Cu Kα X-rays. Structure: a PBE-relaxed structure.
Kinematic intensities with the Lorentz-polarization factor, no thermal factor.

Largest 10 diffraction maxima, by angle, 2θ = 15–90°:
22.03 deg, rel. 24; 24.39 deg, rel. 16; 25.98 deg, rel. 51; 27.13 deg, rel. 100; 27.66 deg, rel. 33; 28.00 deg, rel. 50; 29.73 deg, rel. 17; 30.63 deg, rel. 29; 34.61 deg, rel. 19; 34.94 deg, rel. 24

Structure:
```
LiTl6C2O6F2
1.0
6.693 0.000 0.000
-0.301 7.441 0.000
-1.239 -3.655 7.162
Li Tl C O F
1 6 2 6 2
Direct
0.000 0.000 0.000 Li
0.223 0.133 0.544 Tl
0.275 0.714 0.672 Tl
0.341 0.373 0.068 Tl
0.698 0.214 0.317 Tl
0.746 0.746 0.385 Tl
0.775 0.526 0.841 Tl
0.278 0.799 0.139 C
0.791 0.089 0.805 C
0.208 0.968 0.161 O
0.300 0.664 0.975 O
0.325 0.763 0.283 O
0.681 0.140 0.691 O
0.828 0.901 0.750 O
0.872 0.221 0.976 O
0.470 0.415 0.556 F
0.982 0.442 0.572 F
```

# 6
This entry pairs a crystal structure of Ba2SrZr3Se9 with its simulated powder XRD pattern. Radiation: Cu Kα X-rays. Structure: a PBE-relaxed structure.
Kinematic intensities with the Lorentz-polarization factor, no thermal factor.

Largest 10 diffraction maxima, by angle, 2θ = 15–90°:
30.06 deg, rel. 100; 30.85 deg, rel. 25; 31.35 deg, rel. 20; 31.36 deg, rel. 18; 31.85 deg, rel. 69; 37.25 deg, rel. 33; 43.63 deg, rel. 17; 44.38 deg, rel. 20; 44.70 deg, rel. 28; 49.07 deg, rel. 17

Structure:
```
Ba2SrZr3Se9
1.0
15.019 0.000 0.000
0.000 4.055 0.000
-0.027 0.000 27.352
Ba Sr Zr Se
8 4 12 36
Direct
0.000 0.000 0.000 Ba
0.000 0.000 0.333 Ba
0.000 0.000 0.667 Ba
0.152 0.000 0.167 Ba
0.152 0.000 0.500 Ba
0.152 0.000 0.833 Ba
0.649 0.500 0.045 Ba
0.649 0.500 0.378 Ba
0.502 0.500 0.210 Sr
0.502 0.500 0.544 Sr
0.503 0.500 0.876 Sr
0.648 0.500 0.710 Sr
0.268 0.500 0.300 Zr
0.269 0.500 0.634 Zr
0.269 0.500 0.967 Zr
0.385 0.000 0.078 Zr
0.385 0.000 0.411 Zr
0.387 0.000 0.744 Zr
0.764 0.000 0.243 Zr
0.764 0.000 0.578 Zr
0.764 0.000 0.910 Zr
0.882 0.500 0.800 Zr
0.884 0.500 0.135 Zr
0.884 0.500 0.468 Zr
0.039 0.500 0.760 Se
0.040 0.500 0.093 Se
0.040 0.500 0.427 Se
0.112 0.500 0.260 Se
0.112 0.500 0.593 Se
0.112 0.500 0.927 Se
0.220 0.000 0.030 Se
0.220 0.000 0.364 Se
0.221 0.000 0.697 Se
0.321 0.500 0.134 Se
0.321 0.500 0.468 Se
0.323 0.500 0.801 Se
0.337 0.000 0.244 Se
0.337 0.000 0.578 Se
0.337 0.000 0.911 Se
0.432 0.500 0.015 Se
0.432 0.500 0.348 Se
0.434 0.500 0.681 Se
0.538 0.000 0.456 Se
0.539 0.000 0.123 Se
0.544 0.000 0.785 Se
0.605 0.000 0.948 Se
0.606 0.000 0.281 Se
0.607 0.000 0.619 Se
0.717 0.500 0.514 Se
0.718 0.500 0.180 Se
0.718 0.500 0.847 Se
0.813 0.000 0.744 Se
0.819 0.000 0.078 Se
0.819 0.000 0.412 Se
0.828 0.500 0.634 Se
0.830 0.500 0.300 Se
0.830 0.500 0.967 Se
0.930 0.000 0.864 Se
0.931 0.000 0.198 Se
0.931 0.000 0.531 Se
```

# 7
This entry pairs a crystal structure of LiCuPO4 with its simulated powder XRD pattern. Radiation: Cu Kα X-rays. Structure: a PBE-relaxed structure.
Kinematic intensities with the Lorentz-polarization factor, no thermal factor.

Largest 10 diffraction maxima, by angle, 2θ = 15–90°:
15.65 deg, rel. 52; 21.86 deg, rel. 100; 23.58 deg, rel. 85; 29.55 deg, rel. 39; 31.60 deg, rel. 36; 35.50 deg, rel. 63; 36.36 deg, rel. 48; 48.23 deg, rel. 33; 61.31 deg, rel. 26; 64.29 deg, rel. 25

Structure:
```
LiCuPO4
1.0
10.112 0.000 0.000
0.000 6.836 0.000
0.000 0.000 5.059
Li Cu P O
4 4 4 16
Direct
0.147 0.012 0.000 Li
0.353 0.512 0.500 Li
0.647 0.488 0.000 Li
0.853 0.988 0.500 Li
0.167 0.509 0.006 Cu
0.333 0.009 0.506 Cu
0.667 0.991 0.006 Cu
0.833 0.491 0.506 Cu
0.094 0.267 0.508 P
0.406 0.767 0.008 P
0.594 0.233 0.508 P
0.906 0.733 0.008 P
0.057 0.743 0.952 O
0.123 0.265 0.810 O
0.153 0.078 0.381 O
0.161 0.452 0.391 O
0.339 0.952 0.891 O
0.347 0.578 0.881 O
0.377 0.765 0.310 O
0.443 0.243 0.452 O
0.557 0.757 0.952 O
0.623 0.235 0.810 O
0.653 0.422 0.381 O
0.661 0.048 0.391 O
0.839 0.548 0.891 O
0.847 0.922 0.881 O
0.877 0.735 0.310 O
0.943 0.257 0.452 O
```

# 8
This entry pairs a crystal structure of UF with its simulated powder XRD pattern. Radiation: Cu Kα X-rays. Structure: a PBE-relaxed structure.
Kinematic intensities with the Lorentz-polarization factor, no thermal factor.

Largest 10 diffraction maxima, by angle, 2θ = 15–90°:
21.82 deg, rel. 63; 34.77 deg, rel. 68; 41.42 deg, rel. 100; 44.49 deg, rel. 15; 57.66 deg, rel. 33; 62.32 deg, rel. 16; 66.87 deg, rel. 20; 73.38 deg, rel. 9; 77.62 deg, rel. 17; 79.79 deg, rel. 33

Structure:
```
UF
1.0
2.980 0.000 0.000
-1.490 2.580 0.000
0.000 0.000 4.073
U F
1 1
Direct
0.000 0.000 0.000 U
0.333 0.667 0.500 F
```

# 9
This entry pairs a crystal structure of SmMg2Ti3S8 with its simulated powder XRD pattern. Radiation: Cu Kα X-rays. Structure: a PBE-relaxed structure.
Kinematic intensities with the Lorentz-polarization factor, no thermal factor.

Largest 10 diffraction maxima, by angle, 2θ = 15–90°:
16.73 deg, rel. 21; 24.18 deg, rel. 23; 27.26 deg, rel. 34; 28.02 deg, rel. 78; 33.83 deg, rel. 100; 44.48 deg, rel. 21; 44.97 deg, rel. 18; 47.62 deg, rel. 31; 49.46 deg, rel. 16; 49.57 deg, rel. 36

Structure:
```
SmMg2Ti3S8
1.0
6.367 -3.685 0.000
6.367 3.685 0.000
-4.233 0.000 6.353
Sm Mg Ti S
1 2 3 8
Direct
0.000 0.000 0.000 Sm
0.373 0.373 0.117 Mg
0.627 0.627 0.883 Mg
0.000 0.000 0.500 Ti
0.000 0.500 0.500 Ti
0.500 0.000 0.500 Ti
0.228 0.743 0.713 S
0.241 0.241 0.724 S
0.257 0.257 0.287 S
0.257 0.772 0.287 S
0.743 0.228 0.713 S
0.743 0.743 0.713 S
0.759 0.759 0.276 S
0.772 0.257 0.287 S
```

# 10
This entry pairs a crystal structure of LiAgF2 with its simulated powder XRD pattern. Radiation: Cu Kα X-rays. Structure: a PBE-relaxed structure.
Kinematic intensities with the Lorentz-polarization factor, no thermal factor.

Largest 10 diffraction maxima, by angle, 2θ = 15–90°:
21.94 deg, rel. 100; 29.58 deg, rel. 19; 31.23 deg, rel. 51; 33.55 deg, rel. 34; 37.12 deg, rel. 42; 40.44 deg, rel. 33; 43.55 deg, rel. 34; 44.74 deg, rel. 28; 49.28 deg, rel. 21; 50.36 deg, rel. 28

Structure:
```
LiAgF2
1.0
1.565 -5.732 0.000
1.565 5.732 0.000
0.000 0.000 5.727
Li Ag F
2 2 4
Direct
0.106 0.894 0.750 Li
0.894 0.106 0.250 Li
0.370 0.630 0.750 Ag
0.630 0.370 0.250 Ag
0.000 0.000 0.000 F
0.000 0.000 0.500 F
0.302 0.698 0.250 F
0.698 0.302 0.750 F
```